Entry 1:
Theoretical X-ray diffraction stick pattern
Compound: Rh2WAu
Radiation: copper Kα
Structure: a structure optimized by DFT (GGA-PBE)

Atomic structure:
a = 2.8155 Å, b = 2.8155 Å, c = 7.8961 Å
α = 90.00°, β = 90.00°, γ = 90.00°
Fractional positions:
Rh1 0.0000 0.0000 0.2303
Rh2 0.0000 0.0000 0.7697
W1 0.5000 0.5000 0.0000
Au1 0.5000 0.5000 0.5000

Most intense lines, 2θ from 10° to 90°, by angle:
- 22.52 deg, rel. 9
- 31.78 deg, rel. 7
- 39.30 deg, rel. 100
- 45.56 deg, rel. 34
- 45.98 deg, rel. 15
- 66.41 deg, rel. 11
- 66.73 deg, rel. 20
- 79.98 deg, rel. 26
- 80.58 deg, rel. 11
- 84.54 deg, rel. 11

***

Entry 2:
Theoretical X-ray diffraction stick pattern
Compound: K3TbTa2O8
Radiation: copper Kα
Structure: a structure optimized by DFT (GGA-PBE)

Atomic structure:
a = 6.2065 Å, b = 6.2065 Å, c = 7.7688 Å
α = 90.00°, β = 90.00°, γ = 120.00°
Fractional positions:
K1 0.0000 0.0000 0.0000
K2 0.3333 0.6667 0.6774
K3 0.6667 0.3333 0.3226
Tb1 0.0000 0.0000 0.5000
Ta1 0.3333 0.6667 0.2339
Ta2 0.6667 0.3333 0.7661
O1 0.1700 0.3400 0.3230
O2 0.1700 0.8300 0.3230
O3 0.3333 0.6667 0.9996
O4 0.3400 0.1700 0.6770
O5 0.6600 0.8300 0.3230
O6 0.6667 0.3333 0.0004
O7 0.8300 0.1700 0.6770
O8 0.8300 0.6600 0.6770

Most intense lines, 2θ from 10° to 90°, by angle:
- 20.09 deg, rel. 100
- 28.35 deg, rel. 69
- 28.77 deg, rel. 92
- 38.59 deg, rel. 19
- 40.83 deg, rel. 35
- 46.19 deg, rel. 23
- 50.71 deg, rel. 27
- 50.97 deg, rel. 18
- 55.84 deg, rel. 21
- 59.58 deg, rel. 16

***

Entry 3:
Theoretical X-ray diffraction stick pattern
Compound: CoTeBr
Radiation: copper Kα
Structure: a structure optimized by DFT (GGA-PBE)

Atomic structure:
a = 7.1039 Å, b = 7.1039 Å, c = 7.1039 Å
α = 29.71°, β = 29.71°, γ = 29.71°
Fractional positions:
Co1 0.0000 0.0000 0.0000
Te1 0.2667 0.2667 0.2667
Br1 0.7367 0.7367 0.7367

Most intense lines, 2θ from 10° to 90°, by angle:
- 13.05 deg, rel. 82
- 29.65 deg, rel. 42
- 33.42 deg, rel. 100
- 42.27 deg, rel. 29
- 45.82 deg, rel. 29
- 50.09 deg, rel. 35
- 52.00 deg, rel. 14
- 57.76 deg, rel. 18
- 61.57 deg, rel. 16
- 83.24 deg, rel. 14

***

Entry 4:
Theoretical X-ray diffraction stick pattern
Compound: GaOsRh6
Radiation: copper Kα
Structure: a structure optimized by DFT (GGA-PBE)

Atomic structure:
a = 3.8404 Å, b = 3.8404 Å, c = 7.7017 Å
α = 90.00°, β = 90.00°, γ = 90.00°
Fractional positions:
Ga1 0.0000 0.0000 0.0000
Os1 0.0000 0.0000 0.5000
Rh1 0.0000 0.5000 0.2559
Rh2 0.0000 0.5000 0.7441
Rh3 0.5000 0.0000 0.2559
Rh4 0.5000 0.0000 0.7441
Rh5 0.5000 0.5000 0.0000
Rh6 0.5000 0.5000 0.5000

Most intense lines, 2θ from 10° to 90°, by angle:
- 11.49 deg, rel. 11
- 25.92 deg, rel. 5
- 40.65 deg, rel. 100
- 47.21 deg, rel. 16
- 47.34 deg, rel. 32
- 69.08 deg, rel. 20
- 69.19 deg, rel. 10
- 83.26 deg, rel. 12
- 83.46 deg, rel. 24
- 88.01 deg, rel. 11

***

Entry 5:
Theoretical X-ray diffraction stick pattern
Compound: Cs2LiS
Radiation: copper Kα
Structure: a structure optimized by DFT (GGA-PBE)

Atomic structure:
a = 10.2185 Å, b = 10.2185 Å, c = 10.1876 Å
α = 104.38°, β = 104.38°, γ = 26.11°
Fractional positions:
Cs1 0.1215 0.1300 0.0626
Cs2 0.1300 0.1215 0.5626
Cs3 0.8700 0.8785 0.4374
Cs4 0.8785 0.8700 0.9374
Li1 0.4984 0.5016 0.7500
Li2 0.5016 0.4984 0.2500
S1 0.0016 0.9984 0.2500
S2 0.9984 0.0016 0.7500

Most intense lines, 2θ from 10° to 90°, by angle:
- 18.01 deg, rel. 50
- 18.44 deg, rel. 57
- 19.78 deg, rel. 93
- 22.28 deg, rel. 79
- 23.74 deg, rel. 32
- 26.05 deg, rel. 55
- 29.07 deg, rel. 37
- 32.10 deg, rel. 100
- 40.73 deg, rel. 27
- 46.12 deg, rel. 23

***

Entry 6:
Theoretical X-ray diffraction stick pattern
Compound: Li5CdPd3
Radiation: copper Kα
Structure: a structure optimized by DFT (GGA-PBE)

Atomic structure:
a = 9.0679 Å, b = 9.0679 Å, c = 9.0679 Å
α = 140.89°, β = 140.89°, γ = 56.50°
Fractional positions:
Li1 0.0000 0.0000 0.0000
Li2 0.0823 0.5823 0.9305
Li3 0.1518 0.0823 0.5000
Li4 0.3482 0.8482 0.9305
Li5 0.4177 0.3482 0.5000
Li6 0.5000 0.5000 0.0000
Li7 0.5823 0.6518 0.5000
Li8 0.6518 0.1518 0.0695
Li9 0.8482 0.9177 0.5000
Li10 0.9177 0.4177 0.0695
Cd1 0.2500 0.7500 0.5000
Cd2 0.7500 0.2500 0.5000
Pd1 0.1474 0.3526 0.5000
Pd2 0.2500 0.2500 0.0000
Pd3 0.3526 0.8526 0.2051
Pd4 0.6474 0.1474 0.7949
Pd5 0.7500 0.7500 0.0000
Pd6 0.8526 0.6474 0.5000

Most intense lines, 2θ from 10° to 90°, by angle:
- 22.26 deg, rel. 100
- 31.53 deg, rel. 70
- 33.48 deg, rel. 40
- 37.19 deg, rel. 55
- 42.10 deg, rel. 14
- 43.72 deg, rel. 36
- 45.31 deg, rel. 26
- 45.42 deg, rel. 18
- 48.13 deg, rel. 14
- 62.28 deg, rel. 21

***

Entry 7:
Theoretical X-ray diffraction stick pattern
Compound: DyErSe2
Radiation: copper Kα
Structure: a structure optimized by DFT (GGA-PBE)

Atomic structure:
a = 6.7548 Å, b = 7.3015 Å, c = 3.8947 Å
α = 90.00°, β = 90.00°, γ = 90.00°
Fractional positions:
Dy1 0.0000 0.0000 0.0000
Dy2 0.5000 0.5000 0.5000
Er1 0.0000 0.5000 0.0000
Er2 0.5000 0.0000 0.5000
Se1 0.1666 0.2513 0.5000
Se2 0.3334 0.7513 0.0000
Se3 0.6666 0.2487 0.0000
Se4 0.8334 0.7487 0.5000

Most intense lines, 2θ from 10° to 90°, by angle:
- 26.41 deg, rel. 42
- 29.15 deg, rel. 21
- 36.25 deg, rel. 100
- 46.61 deg, rel. 35
- 49.96 deg, rel. 10
- 57.39 deg, rel. 10
- 60.43 deg, rel. 23
- 70.72 deg, rel. 20
- 79.61 deg, rel. 21
- 84.66 deg, rel. 9

***

Entry 8:
Theoretical X-ray diffraction stick pattern
Compound: Ca2La2Cu
Radiation: copper Kα
Structure: a structure optimized by DFT (GGA-PBE)

Atomic structure:
a = 7.5861 Å, b = 7.5861 Å, c = 6.1435 Å
α = 90.00°, β = 90.00°, γ = 90.00°
Fractional positions:
Ca1 0.1685 0.3315 0.0000
Ca2 0.3315 0.8315 0.0000
Ca3 0.6685 0.1685 0.0000
Ca4 0.8315 0.6685 0.0000
La1 0.1491 0.6491 0.5000
La2 0.3509 0.1491 0.5000
La3 0.6491 0.8509 0.5000
La4 0.8509 0.3509 0.5000
Cu1 0.0000 0.0000 0.5000
Cu2 0.5000 0.5000 0.5000

Most intense lines, 2θ from 10° to 90°, by angle:
- 14.42 deg, rel. 62
- 26.27 deg, rel. 20
- 29.07 deg, rel. 34
- 30.09 deg, rel. 100
- 37.49 deg, rel. 26
- 39.58 deg, rel. 14
- 40.36 deg, rel. 20
- 48.13 deg, rel. 25
- 52.17 deg, rel. 21
- 68.31 deg, rel. 13

***

Entry 9:
Theoretical X-ray diffraction stick pattern
Compound: TbFe2SiC
Radiation: copper Kα
Structure: a structure optimized by DFT (GGA-PBE)

Atomic structure:
a = 5.5478 Å, b = 5.5478 Å, c = 6.7311 Å
α = 90.00°, β = 90.00°, γ = 140.26°
Fractional positions:
Tb1 0.0514 0.9486 0.7500
Tb2 0.9486 0.0514 0.2500
Fe1 0.3346 0.6654 0.5630
Fe2 0.3346 0.6654 0.9370
Fe3 0.6654 0.3346 0.0630
Fe4 0.6654 0.3346 0.4370
Si1 0.2293 0.7707 0.2500
Si2 0.7707 0.2293 0.7500
C1 0.5000 0.5000 0.0000
C2 0.5000 0.5000 0.5000

Most intense lines, 2θ from 10° to 90°, by angle:
- 31.64 deg, rel. 29
- 35.10 deg, rel. 47
- 36.82 deg, rel. 100
- 36.95 deg, rel. 49
- 37.63 deg, rel. 55
- 43.92 deg, rel. 31
- 48.26 deg, rel. 26
- 54.43 deg, rel. 24
- 62.30 deg, rel. 21
- 65.96 deg, rel. 22

***

Entry 10:
Theoretical X-ray diffraction stick pattern
Compound: ZnHg2Sb
Radiation: copper Kα
Structure: a structure optimized by DFT (GGA-PBE)

Atomic structure:
a = 6.9625 Å, b = 6.9625 Å, c = 6.9625 Å
α = 152.52°, β = 141.19°, γ = 48.22°
Fractional positions:
Zn1 0.0000 0.0000 0.0000
Hg1 0.1984 0.6984 0.5000
Hg2 0.5185 0.5185 0.0000
Sb1 0.8144 0.3144 0.5000

Most intense lines, 2θ from 10° to 90°, by angle:
- 27.87 deg, rel. 25
- 28.08 deg, rel. 17
- 28.57 deg, rel. 63
- 36.25 deg, rel. 100
- 38.93 deg, rel. 28
- 44.10 deg, rel. 15
- 44.97 deg, rel. 20
- 60.97 deg, rel. 16
- 68.59 deg, rel. 19
- 68.76 deg, rel. 15

***

Entry 11:
Theoretical X-ray diffraction stick pattern
Compound: Ac6GeRh2
Radiation: copper Kα
Structure: a structure optimized by DFT (GGA-PBE)

Atomic structure:
a = 7.7212 Å, b = 7.7212 Å, c = 10.1031 Å
α = 120.58°, β = 120.58°, γ = 43.13°
Fractional positions:
Ac1 0.0233 0.0233 0.2034
Ac2 0.2784 0.2784 0.8753
Ac3 0.3552 0.3552 0.4550
Ac4 0.6448 0.6448 0.5450
Ac5 0.7216 0.7216 0.1247
Ac6 0.9767 0.9767 0.7966
Ge1 0.0000 0.0000 0.5000
Rh1 0.1873 0.1873 0.1039
Rh2 0.8127 0.8127 0.8961

Most intense lines, 2θ from 10° to 90°, by angle:
- 22.30 deg, rel. 35
- 23.94 deg, rel. 100
- 25.28 deg, rel. 59
- 27.24 deg, rel. 76
- 31.53 deg, rel. 83
- 31.74 deg, rel. 38
- 33.48 deg, rel. 35
- 36.87 deg, rel. 52
- 40.82 deg, rel. 38
- 45.33 deg, rel. 33

***

Entry 12:
Theoretical X-ray diffraction stick pattern
Compound: Np3SiS6
Radiation: copper Kα
Structure: a structure optimized by DFT (GGA-PBE)

Atomic structure:
a = 8.3223 Å, b = 8.3223 Å, c = 6.5480 Å
α = 90.00°, β = 90.00°, γ = 101.48°
Fractional positions:
Np1 0.1042 0.8958 0.5000
Np2 0.2191 0.4167 0.4001
Np3 0.4167 0.2191 0.9001
Np4 0.5833 0.7809 0.4001
Np5 0.7809 0.5833 0.9001
Np6 0.8958 0.1042 0.0000
Si1 0.3273 0.6727 0.8851
Si2 0.6727 0.3273 0.3851
S1 0.0867 0.5978 0.7163
S2 0.1304 0.1905 0.6988
S3 0.1905 0.1304 0.1988
S4 0.2696 0.7304 0.2278
S5 0.4022 0.9133 0.7163
S6 0.4827 0.5173 0.6578
S7 0.5173 0.4827 0.1578
S8 0.5978 0.0867 0.2163
S9 0.7304 0.2696 0.7278
S10 0.8095 0.8696 0.6988
S11 0.8696 0.8095 0.1988
S12 0.9133 0.4022 0.2163

Most intense lines, 2θ from 10° to 90°, by angle:
- 17.37 deg, rel. 47
- 19.33 deg, rel. 24
- 25.74 deg, rel. 100
- 26.25 deg, rel. 87
- 35.76 deg, rel. 26
- 38.23 deg, rel. 41
- 39.23 deg, rel. 27
- 43.56 deg, rel. 32
- 50.21 deg, rel. 21
- 52.12 deg, rel. 30

***

Entry 13:
Theoretical X-ray diffraction stick pattern
Compound: Ho2Hg2Pd5
Radiation: copper Kα
Structure: a structure optimized by DFT (GGA-PBE)

Atomic structure:
a = 8.9232 Å, b = 8.9232 Å, c = 8.9232 Å
α = 73.72°, β = 145.71°, γ = 117.01°
Fractional positions:
Ho1 0.0285 0.1262 0.1547
Ho2 0.0285 0.3738 0.4023
Ho3 0.9715 0.6262 0.5977
Ho4 0.9715 0.8738 0.8453
Hg1 0.4666 0.7510 0.2155
Hg2 0.4991 0.4991 0.0000
Hg3 0.4991 0.9991 0.5000
Hg4 0.5355 0.2510 0.7845
Pd1 0.0001 0.0013 0.4988
Pd2 0.0022 0.4029 0.9038
Pd3 0.0022 0.5985 0.0994
Pd4 0.4991 0.0985 0.0962
Pd5 0.4991 0.9029 0.9006
Pd6 0.5000 0.2941 0.2954
Pd7 0.5000 0.7046 0.7059
Pd8 0.5025 0.5013 0.5012
Pd9 0.9987 0.2046 0.7046
Pd10 0.9987 0.7941 0.2941

Most intense lines, 2θ from 10° to 90°, by angle:
- 31.78 deg, rel. 100
- 35.78 deg, rel. 14
- 38.63 deg, rel. 46
- 39.33 deg, rel. 82
- 40.83 deg, rel. 38
- 42.21 deg, rel. 46
- 58.54 deg, rel. 18
- 59.56 deg, rel. 15
- 66.39 deg, rel. 12
- 70.37 deg, rel. 15

***

Entry 14:
Theoretical X-ray diffraction stick pattern
Compound: Li2ZrPN4
Radiation: copper Kα
Structure: a structure optimized by DFT (GGA-PBE)

Atomic structure:
a = 6.8903 Å, b = 6.8903 Å, c = 5.2955 Å
α = 106.68°, β = 106.68°, γ = 119.44°
Fractional positions:
Li1 0.0465 0.9535 0.5000
Li2 0.5476 0.9594 0.5818
Li3 0.9535 0.0465 0.0000
Li4 0.9594 0.5476 0.0818
Zr1 0.0509 0.4457 0.5510
Zr2 0.4457 0.0509 0.0510
P1 0.4966 0.5827 0.1425
P2 0.5827 0.4966 0.6425
N1 0.2034 0.7826 0.5728
N2 0.2630 0.2897 0.4742
N3 0.2897 0.2630 0.9742
N4 0.3455 0.7029 0.0786
N5 0.6701 0.7123 0.5225
N6 0.7029 0.3455 0.5786
N7 0.7123 0.6701 0.0225
N8 0.7826 0.2034 0.0728

Most intense lines, 2θ from 10° to 90°, by angle:
- 17.22 deg, rel. 32
- 18.76 deg, rel. 100
- 27.37 deg, rel. 37
- 28.39 deg, rel. 22
- 29.91 deg, rel. 48
- 33.07 deg, rel. 30
- 34.83 deg, rel. 19
- 36.58 deg, rel. 21
- 41.49 deg, rel. 24
- 53.25 deg, rel. 20